# 1
The following is a theoretical PXRD pattern of Ca5Ta4O15. It was derived from a GGA-PBE-relaxed structure, using copper Kα.
Intensities are scaled so that the largest is 100.

The 10 most intense peaks (10 to 80 degrees two-theta), most intense first:
d (Å)	I_rel	index
3.014	100	0 1 3
2.816	86	1 1 0
3.720	83	1 0 2
2.058	56	2 0 3
4.491	53	1 0 1
1.783	52	1 0 6
1.662	36	1 2 3
1.328	26	2 1 6
1.756	19	2 1 2
1.408	18	2 2 0

Crystal structure
Unit cell a=5.6327 b=5.6327 c=11.5021 alpha=90.00 beta=90.00 gamma=120.00
Space group P-3m1 (No. 164)
Asymmetric unit:
Ca 0.0000 0.0000 0.0000
Ca 0.3333 0.6667 0.4597
Ca 0.3333 0.6667 0.7613
Ta 0.0000 0.0000 0.3151
Ta 0.3333 0.6667 0.1036
O 0.0000 0.5000 0.0000
O 0.1623 0.3246 0.1926
O 0.1718 0.3436 0.6078

---

# 2
The following is a theoretical PXRD pattern of MgCu2O3. It was derived from a GGA-PBE-relaxed structure, using copper Kα.
Intensities are scaled so that the largest is 100.

The 10 most intense peaks (10 to 80 degrees two-theta), most intense first:
d (Å)	I_rel	index
2.257	100	0 3 1
2.530	75	1 0 1
2.490	74	1 3 0
2.031	66	2 0 0
1.510	50	2 3 1
2.669	42	0 2 1
3.060	30	0 1 1
3.732	30	1 1 0
1.576	25	0 6 0
1.245	23	2 6 0

Crystal structure
Unit cell a=4.062 b=9.454 c=3.234 alpha=90.00 beta=90.00 gamma=90.00
Space group Pmmn (No. 59, origin choice 2)
Asymmetric unit:
Mg 0.250 0.250 0.118
Cu 0.250 0.586 0.337
O 0.250 0.097 0.610
O 0.250 0.750 0.992

---

# 3
The following is a theoretical PXRD pattern of Na3GaB4O9. It was derived from a GGA-PBE-relaxed structure, using copper Kα.
Intensities are scaled so that the largest is 100.

The 10 most intense peaks (10 to 80 degrees two-theta), most intense first:
d (Å)	I_rel	index
2.647	100	1 3 0
2.586	69	1 2 -2
2.266	62	0 0 3
3.102	58	2 0 0
5.067	55	1 1 0
3.834	54	1 1 1
4.261	52	1 0 1
4.391	47	0 2 0
6.203	46	1 0 0
5.375	37	0 1 1

Crystal structure
Unit cell a=6.281 b=8.782 c=6.882 alpha=90.00 beta=99.02 gamma=90.00
Space group P2_1/m (No. 11)
Asymmetric unit:
Na 0.077 0.250 0.007
Na 0.246 0.534 0.323
Ga 0.293 0.250 0.636
B 0.254 0.545 0.780
B 0.378 0.750 0.026
B 0.485 0.250 0.281
O 0.137 0.086 0.722
O 0.235 0.611 0.959
O 0.284 0.250 0.365
O 0.383 0.608 0.654
O 0.424 0.750 0.238
O 0.434 0.250 0.069

---

# 4
The following is a theoretical PXRD pattern of PuSi3. It was derived from a GGA-PBE-relaxed structure, using copper Kα.
Intensities are scaled so that the largest is 100.

The 10 most intense peaks (10 to 80 degrees two-theta), most intense first:
d (Å)	I_rel	index
3.343	100	1 0 1
2.209	71	2 0 1
2.942	47	1 1 0
5.096	29	1 0 0
1.766	28	2 1 1
1.347	25	3 0 2
1.225	23	2 2 2
1.770	22	1 1 2
2.548	18	2 0 0
2.215	17	0 0 2

Crystal structure
Unit cell a=5.8844 b=5.8844 c=4.4303 alpha=90.00 beta=90.00 gamma=120.00
Space group P6_3/mmc (No. 194)
Asymmetric unit:
Pu 0.3333 0.6667 0.2500
Si 0.1445 0.2889 0.7500

---

# 5
The following is a theoretical PXRD pattern of BeFe3. It was derived from a GGA-PBE-relaxed structure, using copper Kα.
Intensities are scaled so that the largest is 100.

The 10 most intense peaks (10 to 80 degrees two-theta), most intense first:
d (Å)	I_rel	index
1.990	100	1 1 2
7.246	27	0 0 1
2.263	23	1 1 1
1.912	23	0 2 0
1.812	15	0 0 4
2.415	15	0 0 3
1.522	10	2 0 0
3.623	10	0 0 2
1.315	10	0 2 4
1.238	10	1 1 5

Crystal structure
Unit cell a=3.044 b=3.824 c=7.246 alpha=90.00 beta=90.00 gamma=90.00
Space group Cmmm (No. 65)
Asymmetric unit:
Be 0.000 0.000 0.000
Fe 0.000 0.000 0.500
Fe 0.000 0.500 0.227